Record 1
Starting from a structure optimized by DFT (PBE+U), the X-ray powder pattern of Li7Nb2Fe3O16 was simulated for CuKα.

Structure:
Lattice parameters (Å, degrees): 5.922 5.922 9.612 91.41 91.41 57.90
Positions (direct):
Li1 0.000 0.000 0.000
Li2 0.004 0.004 0.512
Li3 0.171 0.661 0.721
Li4 0.322 0.322 0.415
Li5 0.661 0.171 0.721
Li6 0.662 0.662 0.908
Li7 0.830 0.830 0.222
Nb1 0.357 0.357 0.988
Nb2 0.671 0.671 0.514
Fe1 0.174 0.174 0.736
Fe2 0.338 0.831 0.228
Fe3 0.831 0.338 0.228
O1 0.008 0.008 0.319
O2 0.022 0.022 0.812
O3 0.034 0.460 0.859
O4 0.153 0.153 0.124
O5 0.178 0.672 0.110
O6 0.307 0.307 0.624
O7 0.340 0.845 0.609
O8 0.460 0.034 0.859
O9 0.485 0.485 0.863
O10 0.489 0.953 0.345
O11 0.511 0.511 0.339
O12 0.649 0.649 0.123
O13 0.672 0.178 0.110
O14 0.836 0.836 0.585
O15 0.845 0.340 0.609
O16 0.953 0.489 0.345

Main lines, sorted by position (5 to 70 degrees two-theta):
d/Å	2theta	I (rel.)
5.180	17.12	41
4.614	19.24	100
4.472	19.85	89
4.422	20.08	42
3.493	25.50	36
2.686	33.36	49
2.492	36.04	31
1.988	45.64	35



Record 2
Starting from a structure optimized by DFT (PBE+U), the X-ray powder pattern of FeH4Cl2O2 was simulated for CuKα.

Structure:
Lattice parameters (Å, degrees): 5.714 5.714 3.721 97.51 97.51 97.15
Positions (direct):
Fe1 0.000 0.000 0.000
H1 0.223 0.601 0.841
H2 0.399 0.777 0.159
H3 0.601 0.223 0.841
H4 0.777 0.399 0.159
Cl1 0.236 0.236 0.579
Cl2 0.764 0.764 0.421
O1 0.243 0.757 0.000
O2 0.757 0.243 0.000

Main lines, sorted by position (5 to 70 degrees two-theta):
d/Å	2theta	I (rel.)
5.606	15.81	100
4.285	20.73	55
2.902	30.81	55
2.868	31.19	35
2.375	37.87	35
2.189	41.24	22
2.142	42.18	23
1.724	53.14	18



Record 3
Starting from a structure optimized by DFT (PBE+U), the X-ray powder pattern of Sr3TlFe2O8 was simulated for CuKα.

Structure:
Lattice parameters (Å, degrees): 3.883 12.687 3.897 90.00 90.00 90.00
Positions (direct):
Sr1 0.000 0.000 0.000
Sr2 0.000 0.302 0.001
Sr3 0.000 0.698 0.001
Tl1 0.500 0.500 0.562
Fe1 0.500 0.155 0.500
Fe2 0.500 0.845 0.500
O1 0.000 0.162 0.502
O2 0.000 0.500 0.900
O3 0.000 0.838 0.502
O4 0.500 0.000 0.500
O5 0.500 0.162 0.000
O6 0.500 0.333 0.481
O7 0.500 0.667 0.481
O8 0.500 0.838 0.000

Main lines, sorted by position (5 to 70 degrees two-theta):
d/Å	2theta	I (rel.)
3.720	23.92	19
3.316	26.88	24
2.863	31.24	100
2.751	32.55	63
1.941	46.79	17
1.676	54.76	21
1.610	57.20	17
1.607	57.32	18